(1)
The following is a simulated powder X-ray diffraction pattern of Te2PtF. It was derived from the GGA-PBE geometry in Alexandria, using copper Kα.

Principal peaks in the range 2θ = 15–90°, most intense first:
2theta, Rel. int.
30.54, 1000
31.69, 468
43.56, 353
39.92, 349
45.60, 269
44.66, 249
25.21, 243
42.00, 225

Structural model:
```
Te2PtF
1.0
6.8905 -1.9970 0.0000
6.8905 1.9970 0.0000
-1.9497 0.0000 7.0659
Te Pt F
4 2 2
Cartesian
0.5684 0.0000 2.6620
5.2285 0.0000 0.6862
6.6028 0.0000 6.3797
11.2629 0.0000 4.4039
0.0000 0.0000 0.0000
5.9157 0.0000 3.5329
2.1365 0.0000 6.0337
9.6948 0.0000 1.0322
```


(2)
The following is a simulated powder X-ray diffraction pattern of Tl3PtF7. It was derived from the GGA-PBE geometry in Alexandria, using copper Kα.

Principal peaks in the range 2θ = 15–90°, most intense first:
2theta, Rel. int.
26.05, 1000
30.58, 342
42.89, 272
29.33, 252
50.05, 176
38.29, 166
28.24, 161
51.67, 148

Structural model:
```
Tl3PtF7
1.0
8.2676 0.0000 0.0000
0.0000 8.2676 0.0000
0.0000 0.0000 6.0906
Tl Pt F
6 2 14
Cartesian
0.0000 0.0000 0.0000
1.6264 2.5074 3.0453
2.5074 6.6412 3.0453
4.1338 4.1338 0.0000
5.7602 1.6264 3.0453
6.6412 5.7602 3.0453
0.0000 4.1338 0.0000
4.1338 0.0000 0.0000
0.0000 0.0000 3.0453
0.9577 5.0915 1.4413
0.9577 5.0915 4.6493
1.3972 2.7367 0.0000
2.7367 6.8705 0.0000
3.1761 0.9577 1.4413
3.1761 0.9577 4.6493
4.1338 4.1338 3.0453
5.0915 7.3099 1.4413
5.0915 7.3099 4.6493
5.5310 1.3972 0.0000
6.8705 5.5310 0.0000
7.3099 3.1761 1.4413
7.3099 3.1761 4.6493
```


(3)
The following is a simulated powder X-ray diffraction pattern of ZnPt2F8. It was derived from the GGA-PBE geometry in Alexandria, using copper Kα.

Principal peaks in the range 2θ = 15–90°, most intense first:
2theta, Rel. int.
25.09, 1000
25.73, 885
26.14, 855
17.46, 844
25.91, 659
45.10, 388
42.87, 308
24.29, 306

Structural model:
```
ZnPt2F8
1.0
4.0292 0.0000 0.0000
-1.6548 5.4844 0.0000
-0.2248 -2.7871 6.6588
Zn Pt F
1 2 8
Cartesian
0.0000 0.0000 0.0000
0.1701 3.2096 2.4038
1.9794 -0.5123 4.2550
-0.0344 -0.7000 4.5116
0.0995 1.6551 0.9036
0.0786 1.9539 3.8496
0.1834 4.5468 0.9009
1.9661 -1.8495 5.7579
2.0709 0.7434 2.8091
2.0500 1.0422 5.7551
2.1840 3.3973 2.1471
```


(4)
The following is a simulated powder X-ray diffraction pattern of PuF6. It was derived from the GGA-PBE geometry in Alexandria, using copper Kα.

Principal peaks in the range 2θ = 15–90°, most intense first:
2theta, Rel. int.
20.03, 1000
21.04, 728
19.21, 559
18.69, 439
26.93, 329
19.10, 256
34.09, 234
40.69, 198

Structural model:
```
PuF6
1.0
10.1058 0.0000 0.0000
0.0000 9.2409 0.0000
0.0000 0.0000 5.3765
Pu F
4 24
Cartesian
1.3133 2.3102 0.4224
3.7396 6.9307 3.1106
6.3662 2.3102 2.2659
8.7925 6.9307 4.9541
0.1503 2.3102 4.1650
0.1571 0.8956 1.2474
0.1571 3.7249 1.2474
2.4690 0.8939 4.9790
2.4690 3.7266 4.9790
2.4785 2.3102 2.0582
2.5744 6.9307 4.7464
2.5839 5.5143 2.2908
2.5839 8.3470 2.2908
4.8958 5.5160 3.9357
4.8958 8.3453 3.9357
4.9026 6.9307 1.4768
5.2031 2.3102 3.8997
5.2100 0.8956 1.4408
5.2100 3.7249 1.4408
7.5219 0.8939 3.0857
7.5219 3.7266 3.0857
7.5314 2.3102 0.6300
7.6273 6.9307 3.3183
7.6368 5.5143 0.3975
7.6368 8.3470 0.3975
9.9487 5.5160 4.1290
9.9487 8.3453 4.1290
9.9555 6.9307 1.2115
```


(5)
The following is a simulated powder X-ray diffraction pattern of PuF12. It was derived from the GGA-PBE geometry in Alexandria, using copper Kα.

Principal peaks in the range 2θ = 15–90°, most intense first:
2theta, Rel. int.
17.91, 1000
48.63, 367
40.73, 337
31.27, 262
25.43, 192
55.66, 143
68.26, 142
85.42, 108

Structural model:
```
PuF12
1.0
-3.5030 3.5030 3.5030
3.5030 -3.5030 3.5030
3.5030 3.5030 -3.5030
Pu F
1 12
Cartesian
0.0000 0.0000 0.0000
2.0638 0.9577 0.0000
4.9422 0.9577 0.0000
3.5030 -1.4392 2.5453
2.5453 3.5030 -1.4392
0.9577 0.0000 2.0638
0.0000 2.0638 0.9577
3.5030 1.4392 2.5453
2.5453 3.5030 1.4392
0.9577 0.0000 4.9422
0.0000 4.9422 0.9577
-1.4392 2.5453 3.5030
1.4392 2.5453 3.5030
```


(6)
The following is a simulated powder X-ray diffraction pattern of PuF3. It was derived from the GGA-PBE geometry in Alexandria, using copper Kα.

Principal peaks in the range 2θ = 15–90°, most intense first:
2theta, Rel. int.
28.65, 1000
16.59, 848
28.95, 647
51.12, 579
41.18, 558
56.51, 217
51.30, 195
67.80, 193

Structural model:
```
PuF3
1.0
6.1693 0.0000 0.0000
-3.0847 5.3428 0.0000
0.0000 0.0000 3.8352
Pu F
2 6
Cartesian
0.0000 3.5619 0.9588
3.0847 1.7809 2.8764
-0.7295 2.1852 2.8764
-0.8275 4.8820 2.8764
1.5277 1.7244 0.9588
1.5570 3.6184 2.8764
3.9122 0.4608 0.9588
3.8142 3.1576 0.9588
```


What did the fifth record say?
The following is a simulated powder X-ray diffraction pattern of PuF12. It was derived from the GGA-PBE geometry in Alexandria, using copper Kα.

Principal peaks in the range 2θ = 15–90°, most intense first:
2theta, Rel. int.
17.91, 1000
48.63, 367
40.73, 337
31.27, 262
25.43, 192
55.66, 143
68.26, 142
85.42, 108

Structural model:
```
PuF12
1.0
-3.5030 3.5030 3.5030
3.5030 -3.5030 3.5030
3.5030 3.5030 -3.5030
Pu F
1 12
Cartesian
0.0000 0.0000 0.0000
2.0638 0.9577 0.0000
4.9422 0.9577 0.0000
3.5030 -1.4392 2.5453
2.5453 3.5030 -1.4392
0.9577 0.0000 2.0638
0.0000 2.0638 0.9577
3.5030 1.4392 2.5453
2.5453 3.5030 1.4392
0.9577 0.0000 4.9422
0.0000 4.9422 0.9577
-1.4392 2.5453 3.5030
1.4392 2.5453 3.5030
```